# Cu3IBr3
Simulated powder X-ray diffraction pattern, λ = 1.5418 Å (Cu Kα). Input: a structure optimized by DFT (PBE).

Cell and atoms:
Cell lengths 8.1502, 8.1502, 7.5855 Å; angles 90.00, 90.00, 120.00 degrees
Space group P6_3/mmc (No. 194)
Asymmetric unit:
Cu1 0.1528 0.3055 0.2500
I1 0.3333 0.6667 0.2500
Br1 0.1753 0.3507 0.7500

Principal peaks in the range 2θ from 10° to 90°, by angle:
17.2 deg, I = 21.5, hkl 1 0 1; 23.5 deg, I = 100.0, hkl 0 0 2; 25.2 deg, I = 60.4, hkl 2 0 0; 27.9 deg, I = 23.9, hkl 2 0 1; 34.7 deg, I = 52.0, hkl 2 0 2; 35.7 deg, I = 22.5, hkl 2 1 1; 44.5 deg, I = 47.9, hkl 2 2 0; 48.0 deg, I = 16.4, hkl 0 0 4; 50.9 deg, I = 63.6, hkl 2 2 2; 67.5 deg, I = 29.9, hkl 2 2 4